Simulated X-ray diffraction stick pattern of Ba4NbCo2MoO12 for Cu Ka, from DFT lattice parameters and positions (GGA+U).
Intensities are scaled so that the largest is 100.

Principal peaks in the range 2θ from 15° to 90°, low angle first:
two_theta  I/Imax  (hkl)
30.72  51  2 0 0
30.91  100  1 1 2
38.02  15  2 0 2
44.00  33  2 2 0
44.56  16  0 0 4
54.74  39  3 1 2
55.10  19  2 0 4
64.42  19  2 2 4
89.08  11  5 1 2
89.38  11  4 2 4

Structural model:
abc: 5.821 5.821 8.133
angles: 90.00 90.00 90.00
Element x y z (fractional)
1 Ba 0.000 0.500 0.249
2 Ba 0.000 0.500 0.751
3 Ba 0.500 0.000 0.249
4 Ba 0.500 0.000 0.751
5 Nb 0.000 0.000 0.000
6 Co 0.000 0.000 0.500
7 Co 0.500 0.500 0.000
8 Mo 0.500 0.500 0.500
9 O 0.000 0.000 0.260
10 O 0.000 0.000 0.740
11 O 0.243 0.243 0.000
12 O 0.243 0.757 0.000
13 O 0.260 0.260 0.500
14 O 0.260 0.740 0.500
15 O 0.500 0.500 0.264
16 O 0.500 0.500 0.736
17 O 0.740 0.260 0.500
18 O 0.740 0.740 0.500
19 O 0.757 0.243 0.000
20 O 0.757 0.757 0.000